Entry 1:
Diffraction record for LiHg3W. The powder diffraction line list is theoretical, not measured: it uses a PBE-relaxed structure and CuKα.

Principal peaks in the range 2θ from 10° to 80°, sorted by position:
16.63 deg, intensity 1000, hkl 1 0 0
29.01 deg, intensity 459, hkl 1 1 1
33.62 deg, intensity 809, hkl 2 0 0
37.73 deg, intensity 543, hkl 2 1 0
48.28 deg, intensity 597, hkl 2 2 0
51.42 deg, intensity 283, hkl 3 0 0
57.32 deg, intensity 211, hkl 3 1 1
60.12 deg, intensity 208, hkl 2 2 2
62.85 deg, intensity 125, hkl 3 2 0
73.20 deg, intensity 161, hkl 4 1 0

Cell and atoms:
a = 5.3313 Å, b = 5.3313 Å, c = 5.3313 Å
α = 90.00°, β = 90.00°, γ = 90.00°
Space group Pm-3m (No. 221)
Asymmetric unit:
1 Li 0.0000 0.0000 0.0000
2 Hg 0.0000 0.5000 0.5000
3 W 0.5000 0.5000 0.5000


Entry 2:
Diffraction record for LiY3Hg. The powder diffraction line list is theoretical, not measured: it uses a PBE-relaxed structure and CuKα.

Principal peaks in the range 2θ from 10° to 80°, sorted by position:
17.74 deg, intensity 111, hkl 1 1 0
19.31 deg, intensity 267, hkl 0 2 1
21.67 deg, intensity 272, hkl 1 3 0
24.63 deg, intensity 125, hkl 0 4 1
33.04 deg, intensity 1000, hkl 1 5 1
34.78 deg, intensity 486, hkl 2 0 0
41.36 deg, intensity 106, hkl 1 3 2
50.00 deg, intensity 172, hkl 2 0 2
57.87 deg, intensity 140, hkl 2 10 0
61.25 deg, intensity 333, hkl 3 5 1

Cell and atoms:
a = 5.1600 Å, b = 20.2600 Å, c = 5.1584 Å
α = 90.00°, β = 90.00°, γ = 90.00°
Space group Cmcm (No. 63)
Asymmetric unit:
1 Li 0.0000 0.1548 0.2500
2 Y 0.0000 0.0598 0.7500
3 Y 0.0000 0.2483 0.7500
4 Y 0.0000 0.4349 0.7500
5 Hg 0.0000 0.3394 0.2500


Entry 3:
Diffraction record for LiY2Hg4. The powder diffraction line list is theoretical, not measured: it uses a PBE-relaxed structure and CuKα.

Principal peaks in the range 2θ from 10° to 80°, sorted by position:
22.05 deg, intensity 179, hkl 0 1 2
25.14 deg, intensity 905, hkl 1 0 4
35.02 deg, intensity 1000, hkl 0 1 8
36.67 deg, intensity 927, hkl 1 1 0
44.98 deg, intensity 203, hkl 0 2 4
51.61 deg, intensity 335, hkl 2 0 8
57.10 deg, intensity 175, hkl 1 1 12
59.38 deg, intensity 182, hkl 2 1 4
61.72 deg, intensity 169, hkl 1 0 16
64.97 deg, intensity 337, hkl 1 2 8

Cell and atoms:
a = 4.9012 Å, b = 4.9012 Å, c = 25.7147 Å
α = 90.00°, β = 90.00°, γ = 120.00°
Space group R-3m (No. 166, hexagonal axes)
Asymmetric unit:
1 Li 0.0000 0.0000 0.0000
2 Y 0.0000 0.0000 0.2499
3 Hg 0.0000 0.0000 0.1292
4 Hg 0.0000 0.0000 0.3697


Entry 4:
Diffraction record for LiY3Hg12. The powder diffraction line list is theoretical, not measured: it uses a PBE-relaxed structure and CuKα.

Principal peaks in the range 2θ from 10° to 80°, sorted by position:
19.49 deg, intensity 71, hkl 1 0 0
27.49 deg, intensity 66, hkl 1 0 4
33.93 deg, intensity 1000, hkl 1 1 4
38.98 deg, intensity 161, hkl 0 0 8
39.57 deg, intensity 334, hkl 2 0 0
56.76 deg, intensity 218, hkl 2 0 8
57.20 deg, intensity 116, hkl 2 2 0
67.39 deg, intensity 119, hkl 1 1 12
68.19 deg, intensity 274, hkl 3 1 4
71.39 deg, intensity 112, hkl 2 2 8

Cell and atoms:
a = 4.5551 Å, b = 4.5551 Å, c = 18.4843 Å
α = 90.00°, β = 90.00°, γ = 90.00°
Space group P4/mmm (No. 123)
Asymmetric unit:
1 Li 0.0000 0.0000 0.0000
2 Y 0.0000 0.0000 0.2390
3 Y 0.0000 0.0000 0.5000
4 Hg 0.0000 0.5000 0.1176
5 Hg 0.0000 0.5000 0.3719
6 Hg 0.5000 0.5000 0.0000
7 Hg 0.5000 0.5000 0.2459
8 Hg 0.5000 0.5000 0.5000


Entry 5:
Diffraction record for Li4YHg5. The powder diffraction line list is theoretical, not measured: it uses a PBE-relaxed structure and CuKα.

Principal peaks in the range 2θ from 10° to 80°, sorted by position:
25.76 deg, intensity 1000, hkl 1 0 0
26.66 deg, intensity 342, hkl 0 0 5
36.76 deg, intensity 636, hkl 1 1 0
37.41 deg, intensity 952, hkl 1 0 5
45.98 deg, intensity 328, hkl 1 1 5
52.96 deg, intensity 226, hkl 2 0 0
59.80 deg, intensity 204, hkl 2 1 0
60.26 deg, intensity 149, hkl 2 0 5
66.63 deg, intensity 358, hkl 2 1 5
67.29 deg, intensity 136, hkl 1 0 11

Cell and atoms:
a = 3.4579 Å, b = 3.4579 Å, c = 16.7179 Å
α = 90.00°, β = 90.00°, γ = 90.00°
Space group P4/mmm (No. 123)
Asymmetric unit:
1 Li 0.0000 0.0000 0.0933
2 Li 0.0000 0.0000 0.2829
3 Y 0.0000 0.0000 0.5000
4 Hg 0.5000 0.5000 0.0000
5 Hg 0.5000 0.5000 0.1880
6 Hg 0.5000 0.5000 0.3774


Entry 6:
Diffraction record for Li5Y4Hg6. The powder diffraction line list is theoretical, not measured: it uses a PBE-relaxed structure and CuKα.

Principal peaks in the range 2θ from 10° to 80°, sorted by position:
19.32 deg, intensity 364, hkl 0 4 2
23.28 deg, intensity 561, hkl 0 6 0
25.67 deg, intensity 553, hkl 1 3 1
28.45 deg, intensity 720, hkl 1 1 3
30.10 deg, intensity 365, hkl 1 5 1
32.43 deg, intensity 399, hkl 1 1 4
34.42 deg, intensity 1000, hkl 1 5 3
37.84 deg, intensity 382, hkl 1 5 4
39.59 deg, intensity 354, hkl 1 7 3
45.02 deg, intensity 410, hkl 2 0 0

Cell and atoms:
a = 4.0273 Å, b = 22.9243 Å, c = 15.3805 Å
α = 90.00°, β = 90.00°, γ = 90.00°
Space group Cmc2_1 (No. 36)
Asymmetric unit:
1 Li 0.0000 0.0403 0.0000
2 Li 0.0000 0.1424 0.3056
3 Li 0.0000 0.1710 0.6025
4 Li 0.0000 0.1904 0.9455
5 Li 0.0000 0.3242 0.9578
6 Y 0.0000 0.3186 0.2723
7 Y 0.0000 0.3608 0.6218
8 Y 0.0000 0.4503 0.1120
9 Y 0.0000 0.4747 0.8387
10 Hg 0.0000 0.0468 0.1852
11 Hg 0.0000 0.0793 0.7648
12 Hg 0.0000 0.0849 0.4659
13 Hg 0.0000 0.2426 0.1071
14 Hg 0.0000 0.2799 0.7898
15 Hg 0.0000 0.3999 0.4293